[1]
Starting from a DFT-relaxed cell (GGA-PBE, Alexandria), the powder diffraction line list of Pr2Tm5Mg was calculated for CuKα.
Peak positions follow from Bragg's law for the DFT cell and can differ from measured ones.

Main lines, sorted by position (2θ = 15–90°):
2θ 15.43, intensity 80, hkl 1 0 1
2θ 31.15, intensity 1000, hkl 2 0 2
2θ 35.53, intensity 176, hkl 0 0 4
2θ 36.42, intensity 330, hkl 2 2 0
2θ 51.79, intensity 242, hkl 2 2 4
2θ 52.45, intensity 117, hkl 4 0 0
2θ 61.09, intensity 147, hkl 2 0 6
2θ 62.27, intensity 278, hkl 4 2 2
2θ 64.96, intensity 122, hkl 4 0 4
2θ 84.67, intensity 120, hkl 4 2 6

Atomic structure:
Lattice parameters (Å, degrees): 6.9781 6.9781 10.1065 90.00 90.00 90.00
Space group I4mm (No. 107)
Asymmetric unit:
Pr 0.0000 0.5000 0.0000 x4
Tm 0.0000 0.0000 0.0000 x2
Tm 0.2500 0.2500 0.2500 x8
Mg 0.0000 0.0000 0.5004 x2


[2]
Starting from a DFT-relaxed cell (GGA-PBE, Alexandria), the powder diffraction line list of Pr6Tm5Mg was calculated for CuKα.
Peak positions follow from Bragg's law for the DFT cell and can differ from measured ones.

Main lines, sorted by position (2θ = 15–90°):
2θ 30.56, intensity 1000, hkl 1 2 3
2θ 34.75, intensity 355, hkl 2 0 0
2θ 36.76, intensity 155, hkl 0 4 0
2θ 49.97, intensity 127, hkl 2 0 6
2θ 51.49, intensity 233, hkl 2 4 0
2θ 59.72, intensity 299, hkl 3 2 3
2θ 62.40, intensity 130, hkl 1 6 3
2θ 63.62, intensity 123, hkl 2 4 6
2θ 81.52, intensity 61, hkl 3 2 9
2θ 83.89, intensity 114, hkl 3 6 3

Atomic structure:
Lattice parameters (Å, degrees): 5.1595 9.7783 15.4972 90.00 90.00 90.00
Space group Immm (No. 71)
Asymmetric unit:
Pr 0.0000 0.2471 0.0000 x4
Pr 0.0000 0.2528 0.3322 x8
Tm 0.0000 0.0000 0.1699 x4
Tm 0.0000 0.0000 0.5000 x2
Tm 0.0000 0.5000 0.1646 x4
Mg 0.0000 0.5000 0.5000 x2


[3]
Starting from a DFT-relaxed cell (GGA-PBE, Alexandria), the powder diffraction line list of PrTm4Mg5 was calculated for CuKα.
Peak positions follow from Bragg's law for the DFT cell and can differ from measured ones.

Main lines, sorted by position (2θ = 15–90°):
2θ 23.25, intensity 329, hkl 0 0 5
2θ 23.64, intensity 645, hkl 1 0 0
2θ 33.40, intensity 1000, hkl 1 0 5
2θ 33.67, intensity 502, hkl 1 1 0
2θ 41.32, intensity 297, hkl 1 1 5
2θ 48.36, intensity 182, hkl 2 0 0
2θ 54.33, intensity 136, hkl 2 0 5
2θ 54.51, intensity 137, hkl 2 1 0
2θ 59.51, intensity 175, hkl 1 1 10
2θ 60.05, intensity 370, hkl 2 1 5

Atomic structure:
Lattice parameters (Å, degrees): 3.7640 3.7640 19.1275 90.00 90.00 90.00
Space group P4/mmm (No. 123)
Asymmetric unit:
Pr 0.0000 0.0000 0.0000 x1
Tm 0.0000 0.0000 0.2072 x2
Tm 0.0000 0.0000 0.4024 x2
Mg 0.5000 0.5000 0.1095 x2
Mg 0.5000 0.5000 0.3045 x2
Mg 0.5000 0.5000 0.5000 x1


[4]
Starting from a DFT-relaxed cell (GGA-PBE, Alexandria), the powder diffraction line list of Pr4Y7Mg was calculated for CuKα.
Peak positions follow from Bragg's law for the DFT cell and can differ from measured ones.

Main lines, sorted by position (2θ = 15–90°):
2θ 29.65, intensity 721, hkl 2 0 0
2θ 30.15, intensity 249, hkl 1 -1 2
2θ 30.80, intensity 353, hkl 1 1 -2
2θ 31.02, intensity 671, hkl 1 -2 0
2θ 31.06, intensity 486, hkl 1 2 2
2θ 31.28, intensity 1000, hkl 1 0 3
2θ 31.42, intensity 403, hkl -1 2 2
2θ 31.77, intensity 314, hkl 0 2 -1
2θ 31.96, intensity 296, hkl 0 2 3
2θ 32.13, intensity 460, hkl 1 0 -3

Atomic structure:
Lattice parameters (Å, degrees): 6.0281 6.9355 10.1701 70.42 88.28 89.81
Space group P-1 (No. 2)
Asymmetric unit:
Pr 0.2326 0.3629 0.2349 x2
Pr 0.2519 0.3190 0.8608 x2
Y 0.2339 0.8975 0.2400 x2
Y 0.2542 0.9619 0.5875 x2
Y 0.2593 0.7911 0.9337 x2
Y 0.5000 0.5000 0.5000 x1
Mg 0.0000 0.5000 0.5000 x1


[5]
Starting from a DFT-relaxed cell (GGA-PBE, Alexandria), the powder diffraction line list of Pr3YMg2 was calculated for CuKα.
Peak positions follow from Bragg's law for the DFT cell and can differ from measured ones.

Main lines, sorted by position (2θ = 15–90°):
2θ 20.80, intensity 153, hkl 0 0 3
2θ 23.13, intensity 292, hkl 1 0 0
2θ 27.05, intensity 97, hkl 1 0 2
2θ 31.30, intensity 1000, hkl 1 0 3
2θ 32.95, intensity 485, hkl 1 1 0
2θ 39.28, intensity 123, hkl 1 1 3
2θ 47.28, intensity 175, hkl 2 0 0
2θ 54.65, intensity 146, hkl 1 1 6
2θ 57.81, intensity 343, hkl 2 1 3
2θ 78.71, intensity 104, hkl 3 1 0

Atomic structure:
Lattice parameters (Å, degrees): 3.8447 3.8447 12.8136 90.00 90.00 90.00
Space group P4/mmm (No. 123)
Asymmetric unit:
Pr 0.0000 0.0000 0.0000 x1
Pr 0.0000 0.0000 0.3094 x2
Y 0.5000 0.5000 0.5000 x1
Mg 0.5000 0.5000 0.1546 x2


[6]
Starting from a DFT-relaxed cell (GGA-PBE, Alexandria), the powder diffraction line list of Pr2YMg3 was calculated for CuKα.
Peak positions follow from Bragg's law for the DFT cell and can differ from measured ones.

Main lines, sorted by position (2θ = 15–90°):
2θ 22.85, intensity 268, hkl 0 0 3
2θ 23.01, intensity 528, hkl 1 0 0
2θ 32.65, intensity 1000, hkl 1 0 3
2θ 32.77, intensity 499, hkl 1 1 0
2θ 40.32, intensity 243, hkl 1 1 3
2θ 47.02, intensity 180, hkl 2 0 0
2θ 52.93, intensity 221, hkl 2 1 0
2θ 58.19, intensity 183, hkl 1 1 6
2θ 58.41, intensity 370, hkl 2 1 3
2θ 78.17, intensity 155, hkl 3 1 0

Atomic structure:
Lattice parameters (Å, degrees): 3.8654 3.8654 11.6764 90.00 90.00 90.00
Space group P4/mmm (No. 123)
Asymmetric unit:
Pr 0.0000 0.0000 0.1707 x2
Y 0.0000 0.0000 0.5000 x1
Mg 0.5000 0.5000 0.0000 x1
Mg 0.5000 0.5000 0.3422 x2


[7]
Starting from a DFT-relaxed cell (GGA-PBE, Alexandria), the powder diffraction line list of PrY5Mg was calculated for CuKα.
Peak positions follow from Bragg's law for the DFT cell and can differ from measured ones.

Main lines, sorted by position (2θ = 15–90°):
2θ 26.88, intensity 289, hkl 2 0 2
2θ 27.65, intensity 624, hkl 1 1 3
2θ 29.86, intensity 1000, hkl 2 2 -1
2θ 30.70, intensity 984, hkl 0 2 3
2θ 31.51, intensity 223, hkl 2 2 1
2θ 32.27, intensity 441, hkl 3 1 -1
2θ 32.61, intensity 962, hkl 2 0 -4
2θ 34.21, intensity 558, hkl 1 3 0
2θ 49.52, intensity 236, hkl 3 3 2
2θ 57.51, intensity 186, hkl 2 2 -7

Atomic structure:
Lattice parameters (Å, degrees): 8.8604 8.2366 12.5265 90.00 99.56 90.00
Space group C2/c (No. 15)
Asymmetric unit:
Pr 0.0000 0.1533 0.2500 x4
Y 0.0000 0.4600 0.7500 x4
Y 0.1596 0.1291 0.5796 x8
Y 0.2146 0.1628 0.8670 x8
Mg 0.0000 0.5000 0.0000 x4


[8]
Starting from a DFT-relaxed cell (GGA-PBE, Alexandria), the powder diffraction line list of PrY2Mg6 was calculated for CuKα.
Peak positions follow from Bragg's law for the DFT cell and can differ from measured ones.

Main lines, sorted by position (2θ = 15–90°):
2θ 19.51, intensity 711, hkl 1 1 0
2θ 33.15, intensity 1000, hkl 1 1 1
2θ 34.13, intensity 657, hkl 3 0 0
2θ 39.62, intensity 115, hkl 2 2 0
2θ 48.31, intensity 340, hkl 2 2 1
2θ 53.27, intensity 97, hkl 4 1 0
2θ 60.48, intensity 341, hkl 4 1 1
2θ 61.10, intensity 117, hkl 3 3 0
2θ 66.01, intensity 186, hkl 3 0 2
2θ 81.47, intensity 141, hkl 5 2 1

Atomic structure:
Lattice parameters (Å, degrees): 9.1001 9.1001 3.3597 90.00 90.00 120.00
Space group P6/mmm (No. 191)
Asymmetric unit:
Pr 0.0000 0.0000 0.0000 x1
Y 0.3333 0.6667 0.0000 x2
Mg 0.0000 0.3367 0.5000 x6


[9]
Starting from a DFT-relaxed cell (GGA-PBE, Alexandria), the powder diffraction line list of Pr12Y7Mg was calculated for CuKα.
Peak positions follow from Bragg's law for the DFT cell and can differ from measured ones.

Main lines, sorted by position (2θ = 15–90°):
2θ 15.11, intensity 390, hkl 2 0 0
2θ 26.33, intensity 920, hkl 2 2 2
2θ 30.49, intensity 1000, hkl 4 0 0
2θ 34.19, intensity 214, hkl 4 0 2
2θ 43.66, intensity 654, hkl 4 4 0
2θ 51.71, intensity 294, hkl 6 2 2
2θ 54.19, intensity 203, hkl 4 4 4
2θ 62.35, intensity 132, hkl 7 2 3
2θ 72.03, intensity 196, hkl 8 4 0
2θ 80.20, intensity 129, hkl 8 4 4

Atomic structure:
Lattice parameters (Å, degrees): 11.7270 11.7270 11.7270 90.00 90.00 90.00
Space group Im-3 (No. 204)
Asymmetric unit:
Pr 0.0000 0.2294 0.2302 x24
Y 0.0000 0.0000 0.5000 x6
Y 0.2500 0.2500 0.2500 x8
Mg 0.0000 0.0000 0.0000 x2


[10]
Starting from a DFT-relaxed cell (GGA-PBE, Alexandria), the powder diffraction line list of Pr2Y2Mg was calculated for CuKα.
Peak positions follow from Bragg's law for the DFT cell and can differ from measured ones.

Main lines, sorted by position (2θ = 15–90°):
2θ 26.63, intensity 311, hkl 1 0 3
2θ 30.63, intensity 120, hkl 0 0 8
2θ 30.79, intensity 1000, hkl 1 0 5
2θ 34.20, intensity 419, hkl 1 1 0
2θ 46.56, intensity 150, hkl 1 1 8
2θ 49.15, intensity 149, hkl 2 0 0
2θ 52.48, intensity 157, hkl 1 1 10
2θ 56.97, intensity 126, hkl 1 0 13
2θ 59.11, intensity 383, hkl 2 1 5
2θ 78.51, intensity 97, hkl 2 1 13

Atomic structure:
Lattice parameters (Å, degrees): 3.7076 3.7076 23.3512 90.00 90.00 90.00
Space group I4/mmm (No. 139)
Asymmetric unit:
Pr 0.0000 0.0000 0.1933 x4
Y 0.0000 0.0000 0.4147 x4
Mg 0.0000 0.0000 0.0000 x2


[11]
Starting from a DFT-relaxed cell (GGA-PBE, Alexandria), the powder diffraction line list of Pr5YMg6 was calculated for CuKα.
Peak positions follow from Bragg's law for the DFT cell and can differ from measured ones.

Main lines, sorted by position (2θ = 15–90°):
2θ 22.83, intensity 556, hkl 1 3 0
2θ 32.51, intensity 1000, hkl 2 0 0
2θ 40.10, intensity 172, hkl 2 0 2
2θ 46.57, intensity 61, hkl 0 0 4
2θ 46.68, intensity 120, hkl 2 6 0
2θ 52.53, intensity 197, hkl 1 3 4
2θ 58.00, intensity 375, hkl 3 3 2
2θ 68.07, intensity 95, hkl 2 6 4
2θ 72.88, intensity 74, hkl 4 0 2
2θ 77.56, intensity 104, hkl 4 6 0

Atomic structure:
Lattice parameters (Å, degrees): 5.5022 16.5182 7.8009 90.00 90.00 90.00
Space group Cmmm (No. 65)
Asymmetric unit:
Pr 0.0000 0.0000 0.0000 x2
Pr 0.0000 0.3315 0.0000 x4
Pr 0.0000 0.3349 0.5000 x4
Y 0.0000 0.0000 0.5000 x2
Mg 0.0000 0.1646 0.2543 x8
Mg 0.0000 0.5000 0.2538 x4


[12]
Starting from a DFT-relaxed cell (GGA-PBE, Alexandria), the powder diffraction line list of PrYMg6 was calculated for CuKα.
Peak positions follow from Bragg's law for the DFT cell and can differ from measured ones.

Main lines, sorted by position (2θ = 15–90°):
2θ 20.85, intensity 516, hkl 0 1 2
2θ 24.11, intensity 273, hkl 1 0 4
2θ 34.37, intensity 1000, hkl 1 1 0
2θ 40.54, intensity 276, hkl 1 0 10
2θ 49.39, intensity 175, hkl 2 0 8
2θ 54.16, intensity 118, hkl 0 2 10
2θ 55.69, intensity 109, hkl 1 1 12
2θ 61.54, intensity 265, hkl 1 2 8
2θ 61.59, intensity 89, hkl 3 0 0
2θ 82.69, intensity 147, hkl 3 1 8

Atomic structure:
Lattice parameters (Å, degrees): 5.2160 5.2160 25.5998 90.00 90.00 120.00
Space group R-3m (No. 166, hexagonal axes)
Asymmetric unit:
Pr 0.0000 0.0000 0.0000 x3
Y 0.0000 0.0000 0.5000 x3
Mg 0.0000 0.0000 0.1264 x6
Mg 0.0000 0.0000 0.2492 x6
Mg 0.0000 0.0000 0.3768 x6


[13]
Starting from a DFT-relaxed cell (GGA-PBE, Alexandria), the powder diffraction line list of Pr7Y4Mg was calculated for CuKα.
Peak positions follow from Bragg's law for the DFT cell and can differ from measured ones.

Main lines, sorted by position (2θ = 15–90°):
2θ 19.91, intensity 340, hkl 1 1 1
2θ 24.61, intensity 252, hkl 1 1 2
2θ 27.66, intensity 224, hkl 3 1 -1
2θ 29.29, intensity 729, hkl 3 1 0
2θ 30.36, intensity 1000, hkl 0 2 0
2θ 31.02, intensity 908, hkl 1 1 -4
2θ 31.98, intensity 238, hkl 4 0 -3
2θ 32.46, intensity 334, hkl 2 0 3
2θ 33.77, intensity 374, hkl 3 1 -4
2θ 45.04, intensity 305, hkl 2 2 3

Atomic structure:
Lattice parameters (Å, degrees): 11.6339 5.8906 13.3164 90.00 113.29 90.00
Space group C2/m (No. 12)
Asymmetric unit:
Pr 0.0000 0.0000 0.0000 x2
Pr 0.1495 0.5000 0.2693 x4
Pr 0.1582 0.5000 0.5339 x4
Pr 0.2107 0.0000 0.9109 x4
Y 0.0041 0.0000 0.6342 x4
Y 0.1796 0.5000 0.7957 x4
Mg 0.0000 0.5000 0.0000 x2


[14]
Starting from a DFT-relaxed cell (GGA-PBE, Alexandria), the powder diffraction line list of PrY6Mg2 was calculated for CuKα.
Peak positions follow from Bragg's law for the DFT cell and can differ from measured ones.

Main lines, sorted by position (2θ = 15–90°):
2θ 23.32, intensity 75, hkl 1 0 2
2θ 28.71, intensity 71, hkl 1 0 3
2θ 29.59, intensity 1000, hkl 1 1 2
2θ 29.77, intensity 143, hkl 0 0 4
2θ 34.07, intensity 134, hkl 1 1 3
2θ 36.37, intensity 357, hkl 2 0 0
2θ 47.68, intensity 152, hkl 2 0 4
2θ 52.38, intensity 122, hkl 2 2 0
2θ 61.31, intensity 240, hkl 3 1 2
2θ 84.85, intensity 75, hkl 3 3 2

Atomic structure:
Lattice parameters (Å, degrees): 4.9403 4.9403 12.0051 90.00 90.00 90.00
Space group P4/mmm (No. 123)
Asymmetric unit:
Pr 0.0000 0.0000 0.0000 x1
Y 0.0000 0.0000 0.5000 x1
Y 0.0000 0.5000 0.2853 x4
Y 0.5000 0.5000 0.5000 x1
Mg 0.5000 0.5000 0.1136 x2